Dy3Er4Tm5: calculated X-ray diffraction stick pattern (CuKα), based on a crystal structure in Alexandria, relaxed with PBE.

Top 12 peaks for 15 to 90 degrees two-theta, low angle first:
d [Å]	I/Imax	h k l
2.857	100	1 2 1
2.474	51	2 0 2
1.751	18	3 2 0
1.748	18	3 -2 0
1.493	21	4 0 1
1.491	21	2 0 5
1.428	9	0 0 6
1.237	6	4 0 4
1.137	6	4 4 1
1.135	9	1 2 7
1.107	8	5 2 2
1.106	8	5 -2 2

Crystal structure
```
Dy3Er4Tm5
1.0
6.0580 0.0000 0.0000
0.0099 7.0072 0.0000
0.0092 0.0071 8.5636
Dy Er Tm
3 4 5
Cartesian
0.0000 0.0000 0.0000
1.0156 1.7544 2.8532
5.0615 5.2599 5.7104
1.0230 5.2568 2.8528
2.0286 3.5088 5.7135
4.0485 3.5055 2.8501
5.0542 1.7575 5.7108
0.0049 3.5036 0.0000
2.0281 0.0054 5.7132
3.0334 1.7523 0.0002
3.0438 5.2621 8.5634
4.0491 7.0089 2.8504
```